1.
# RbBiI5
Simulated powder X-ray diffraction pattern, Cu Ka. Input: DFT lattice parameters and positions (GGA-PBE).
Lines closer than 0.1° are merged.

Cell and atoms:
abc: 13.336 8.962 12.469
angles: 90.00 111.34 90.00
Space group C2/c (No. 15)
Unique sites:
Rb1 0.000 0.030 0.250 x4
Bi1 0.000 0.500 0.000 x4
I1 0.000 0.455 0.250 x4
I2 0.113 0.197 0.560 x8
I3 0.220 0.328 0.103 x8

Principal peaks in the range 2θ from 5° to 70°, sorted by position:
| Position (°2θ) | I/Imax | h k l |
| --- | --- | --- |
| 12.2 | 59 | 1 1 0 |
| 22.3 | 51 | 3 1 -1 |
| 24.5 | 90 | 2 2 0 |
| 27.2 | 35 | 3 1 1 |
| 28.8 | 100 | 2 0 -4 |
| 35.2 | 43 | 4 2 0 |

2.
# K5Sc2O6
Simulated powder X-ray diffraction pattern, Cu Ka. Input: DFT lattice parameters and positions (GGA-PBE).
Lines closer than 0.1° are merged.

Cell and atoms:
abc: 12.029 13.029 3.586
angles: 90.00 90.00 90.00
Space group Pbam (No. 55)
Unique sites:
K1 0.000 0.000 0.000 x2
K2 0.017 0.262 0.000 x4
K3 0.196 0.497 0.000 x4
Sc1 0.227 0.777 0.500 x4
O1 0.099 0.873 0.500 x4
O2 0.138 0.360 0.500 x4
O3 0.223 0.699 0.000 x4

Principal peaks in the range 2θ from 5° to 70°, sorted by position:
| Position (°2θ) | I/Imax | h k l |
| --- | --- | --- |
| 13.6 | 56 | 0 2 0 |
| 23.2 | 66 | 3 1 0 |
| 27.4 | 72 | 0 4 0 |
| 32.1 | 100 | 2 2 1 |
| 37.3 | 53 | 0 4 1 |
| 40.8 | 60 | 4 4 0 |

3.
# Sb5Au3
Simulated powder X-ray diffraction pattern, Cu Ka. Input: DFT lattice parameters and positions (GGA-PBE).
Lines closer than 0.1° are merged.

Cell and atoms:
abc: 6.565 17.377 8.037
angles: 90.00 110.09 90.00
Space group Cm (No. 8)
Unique sites:
Sb1 0.000 0.000 0.000 x2
Sb2 0.007 0.223 0.757 x4
Sb3 0.064 0.414 0.507 x4
Sb4 0.231 0.244 0.172 x4
Sb5 0.363 0.401 0.295 x4
Sb6 0.427 0.000 0.831 x2
Au1 0.214 0.181 0.517 x4
Au2 0.218 0.369 0.887 x4
Au3 0.441 0.000 0.175 x2
Au4 0.487 0.500 0.646 x2

Principal peaks in the range 2θ from 5° to 70°, sorted by position:
| Position (°2θ) | I/Imax | h k l |
| --- | --- | --- |
| 21.6 | 100 | 1 3 -1 |
| 29.5 | 75 | 1 5 0 |
| 30.8 | 60 | 2 2 0 |
| 31.4 | 63 | 0 4 2 |
| 33.9 | 65 | 1 1 -3 |
| 35.7 | 58 | 0 0 3 |